This entry pairs a crystal structure of YTlCdSe3 with its theoretical X-ray powder pattern. Radiation: CuKα. Structure: a structure optimized by DFT (GGA-PBE).
Neutral-atom scattering factors, no anomalous dispersion.

Structural model:
```
YTlCdSe3
1.0
12.355 0.000 0.000
0.000 4.291 0.000
0.000 0.000 12.775
Y Tl Cd Se
4 4 4 12
Direct
0.031 0.250 0.168
0.469 0.750 0.668
0.531 0.250 0.332
0.969 0.750 0.832
0.156 0.250 0.503
0.344 0.750 0.003
0.656 0.250 0.997
0.844 0.750 0.497
0.250 0.250 0.799
0.250 0.750 0.299
0.750 0.250 0.701
0.750 0.750 0.201
0.034 0.750 0.326
0.089 0.250 0.935
0.238 0.750 0.672
0.262 0.250 0.172
0.411 0.750 0.435
0.466 0.250 0.826
0.534 0.750 0.174
0.589 0.250 0.565
0.738 0.750 0.828
0.762 0.250 0.328
0.911 0.750 0.065
0.966 0.250 0.674
```

Most intense lines, 2θ = 10–90°, low angle first:
22.69 deg, I 34
25.27 deg, I 38
28.93 deg, I 56
30.45 deg, I 100
32.19 deg, I 48
35.81 deg, I 28
38.04 deg, I 17
41.55 deg, I 15
42.11 deg, I 34
42.82 deg, I 40
53.98 deg, I 22
56.04 deg, I 26

=====

This entry pairs a crystal structure of TbHoSi2Au2 with its theoretical X-ray powder pattern. Radiation: CuKα. Structure: a structure optimized by DFT (GGA-PBE).
Neutral-atom scattering factors, no anomalous dispersion.

Structural model:
```
TbHoSi2Au2
1.0
4.321 0.000 0.000
-2.160 3.742 0.000
0.000 0.000 7.649
Tb Ho Si Au
1 1 2 2
Direct
0.000 0.000 0.000
0.000 0.000 0.500
0.333 0.667 0.723
0.667 0.333 0.225
0.333 0.667 0.269
0.667 0.333 0.763
```

Most intense lines, 2θ = 10–90°, low angle first:
26.52 deg, I 53
33.50 deg, I 100
41.81 deg, I 56
42.92 deg, I 17
47.55 deg, I 12
50.20 deg, I 10
54.61 deg, I 25
65.15 deg, I 28
67.33 deg, I 8
71.06 deg, I 23
76.35 deg, I 10
79.41 deg, I 7

=====

This entry pairs a crystal structure of KHfAgSe2S with its theoretical X-ray powder pattern. Radiation: CuKα. Structure: a structure optimized by DFT (GGA-PBE).
Neutral-atom scattering factors, no anomalous dispersion.

Structural model:
```
KHfAgSe2S
1.0
1.973 -7.370 0.000
1.973 7.370 0.000
0.000 0.000 10.221
K Hf Ag Se S
2 2 2 4 2
Direct
0.242 0.758 0.750
0.758 0.242 0.250
0.500 0.500 0.000
0.500 0.500 0.500
0.047 0.953 0.250
0.953 0.047 0.750
0.127 0.873 0.028
0.127 0.873 0.472
0.873 0.127 0.528
0.873 0.127 0.972
0.441 0.559 0.250
0.559 0.441 0.750
```

Most intense lines, 2θ = 10–90°, low angle first:
12.01 deg, I 100
17.35 deg, I 13
29.02 deg, I 25
29.23 deg, I 18
30.34 deg, I 24
34.01 deg, I 62
35.12 deg, I 30
37.24 deg, I 13
38.11 deg, I 13
42.15 deg, I 28
46.01 deg, I 19
52.81 deg, I 21

=====

Please write out number 2 again, unchanged.
This entry pairs a crystal structure of TbHoSi2Au2 with its theoretical X-ray powder pattern. Radiation: CuKα. Structure: a structure optimized by DFT (GGA-PBE).
Neutral-atom scattering factors, no anomalous dispersion.

Structural model:
```
TbHoSi2Au2
1.0
4.321 0.000 0.000
-2.160 3.742 0.000
0.000 0.000 7.649
Tb Ho Si Au
1 1 2 2
Direct
0.000 0.000 0.000
0.000 0.000 0.500
0.333 0.667 0.723
0.667 0.333 0.225
0.333 0.667 0.269
0.667 0.333 0.763
```

Most intense lines, 2θ = 10–90°, low angle first:
26.52 deg, I 53
33.50 deg, I 100
41.81 deg, I 56
42.92 deg, I 17
47.55 deg, I 12
50.20 deg, I 10
54.61 deg, I 25
65.15 deg, I 28
67.33 deg, I 8
71.06 deg, I 23
76.35 deg, I 10
79.41 deg, I 7